Mg9Fe2N8: computed powder diffractogram (copper Kα), based on a DFT-relaxed cell (PBE, the Materials Project).

The 12 most intense peaks (2θ = 10–90°), by angle:
d [Å], 2theta, intensity
7.618, 11.62, 33
6.002, 14.76, 15
3.676, 24.21, 49
3.339, 26.70, 11
3.297, 27.05, 19
2.551, 35.17, 36
2.507, 35.82, 41
2.493, 36.03, 12
2.240, 40.27, 32
2.167, 41.69, 100
1.557, 59.34, 18
1.532, 60.43, 23

Structural model:
```
19
Lattice="7.9927 -2.1671 0.0000 7.9927 2.1671 0.0000 -2.1209 0.0000 6.6776" Properties=species:S:1:pos:R:3 pbc="T T T"
Mg 0.0000 0.0000 0.0000
Mg 0.4835 0.0000 3.0410
Mg 0.7470 0.0000 6.2169
Mg 3.7136 0.0000 5.0628
Mg 6.7111 0.0000 1.9154
Mg 7.1534 0.0000 4.7623
Mg 10.1508 0.0000 1.6149
Mg 13.1175 0.0000 0.4608
Mg 13.3810 0.0000 3.6367
Fe 3.9860 0.0000 2.0174
Fe 9.8785 0.0000 4.6602
N -1.0116 0.0000 5.0104
N 2.2094 0.0000 1.5976
N 4.9636 0.0000 0.5314
N 5.1714 0.0000 3.4363
N 8.6931 0.0000 3.2413
N 8.9008 0.0000 6.1462
N 11.6551 0.0000 5.0800
N 14.8760 0.0000 1.6672
```

Mg2FeN2: computed powder diffractogram (copper Kα), based on a DFT-relaxed cell (PBE, the Materials Project).

The 12 most intense peaks (2θ = 10–90°), by angle:
d [Å], 2theta, intensity
4.752, 18.67, 31
3.878, 22.93, 48
3.538, 25.17, 100
3.094, 28.86, 19
2.500, 35.92, 57
2.439, 36.85, 52
2.376, 37.87, 33
2.156, 41.90, 71
1.946, 46.67, 64
1.810, 50.41, 19
1.641, 56.03, 23
1.445, 64.50, 44

Structural model:
```
10
Lattice="5.0708 -2.1562 0.0000 5.0708 2.1562 0.0000 -3.0317 0.0000 5.4758" Properties=species:S:1:pos:R:3 pbc="T T T"
Mg -0.4453 0.0000 1.3859
Mg 0.5202 0.0000 4.9720
Mg 6.5896 0.0000 0.5038
Mg 7.5551 0.0000 4.0899
Fe 2.6037 0.0000 2.0510
Fe 4.5062 0.0000 3.4248
N 1.5059 0.0000 0.5812
N 2.6821 0.0000 3.8951
N 4.4278 0.0000 1.5807
N 5.6040 0.0000 4.8946
```

NaMg6Fe: computed powder diffractogram (copper Kα), based on a DFT-relaxed cell (PBE, the Materials Project).

The 12 most intense peaks (2θ = 10–90°), by angle:
d [Å], 2theta, intensity
5.571, 15.91, 16
2.786, 32.13, 19
2.652, 33.80, 16
2.492, 36.05, 33
2.431, 36.97, 100
2.341, 38.45, 34
1.857, 49.05, 11
1.816, 50.24, 10
1.556, 59.41, 14
1.427, 65.42, 17
1.341, 70.16, 10
1.320, 71.50, 15

Structural model:
```
16
Lattice="4.9831 0.0000 0.0000 0.0000 6.5464 0.0000 0.0000 0.0000 10.6087" Properties=species:S:1:pos:R:3 pbc="T T T"
Na 0.0000 0.0000 0.0000
Na 0.0000 3.2732 5.3044
Mg 0.0000 1.6366 2.6303
Mg 0.0000 1.6366 7.9347
Mg 0.0000 4.9098 2.6303
Mg 0.0000 4.9098 7.9347
Mg 2.4916 0.0000 3.4790
Mg 2.4916 0.0000 8.7101
Mg 2.4916 1.5148 6.0390
Mg 2.4916 1.7584 0.7347
Mg 2.4916 3.2732 3.4057
Mg 2.4916 3.2732 8.7834
Mg 2.4916 4.7880 0.7347
Mg 2.4916 5.0316 6.0390
Fe 0.0000 0.0000 5.3295
Fe 0.0000 3.2732 0.0251
```

NaMg6Fe: computed powder diffractogram (copper Kα), based on a DFT-relaxed cell (PBE, the Materials Project).

The 12 most intense peaks (2θ = 10–90°), by angle:
d [Å], 2theta, intensity
5.441, 16.29, 15
2.721, 32.92, 16
2.675, 33.49, 19
2.484, 36.16, 35
2.386, 37.70, 100
2.356, 38.21, 30
1.835, 49.70, 9
1.821, 50.11, 11
1.580, 58.42, 8
1.553, 59.51, 11
1.415, 66.04, 17
1.317, 71.66, 12

Structural model:
```
16
Lattice="4.9686 0.0000 0.0000 0.0000 6.3192 0.0000 0.0000 0.0000 10.7019" Properties=species:S:1:pos:R:3 pbc="T T T"
Na 0.0000 0.0000 0.0000
Na 0.0000 3.1596 5.3509
Mg 0.0000 0.0000 5.3317
Mg 0.0000 1.4507 2.5636
Mg 0.0000 1.7089 7.9146
Mg 0.0000 3.1596 10.6826
Mg 0.0000 4.6103 7.9146
Mg 0.0000 4.8685 2.5636
Mg 2.4843 0.0000 7.1780
Mg 2.4843 1.5487 4.4479
Mg 2.4843 1.6109 9.7988
Mg 2.4843 3.1596 1.8270
Mg 2.4843 4.7083 9.7988
Mg 2.4843 4.7705 4.4479
Fe 2.4843 0.0000 2.0644
Fe 2.4843 3.1596 7.4153
```